The following is a simulated X-ray diffraction stick pattern of Na6ScTa3Si6O24. It was derived from a crystal structure in the Materials Project, relaxed with GGA-PBE, using CuKα.

Structure:
Lattice parameters (Å, degrees): 9.0736 9.0826 9.0891 119.63 90.49 119.65
Space group P1 (No. 1)
One atom of each set of equivalent atoms:
Na1 0.0000 0.0000 0.0000 x1
Na2 0.1032 0.5196 0.2779 x1
Na3 0.2131 0.0077 0.5297 x1
Na4 0.3389 0.6400 0.9606 x1
Na5 0.5965 0.5096 0.7650 x1
Na6 0.8650 0.4077 0.5561 x1
Sc1 0.2482 0.8012 0.6960 x1
Ta1 0.4544 0.2249 0.3282 x1
Ta2 0.7401 0.7981 0.2003 x1
Ta3 0.9497 0.2220 0.8350 x1
Si1 0.0551 0.7169 0.0150 x1
Si2 0.1389 0.2973 0.5120 x1
Si3 0.3486 0.2994 0.0027 x1
Si4 0.5550 0.0095 0.5099 x1
Si5 0.6416 0.0178 0.0173 x1
Si6 0.8379 0.7187 0.5200 x1
O1 0.0038 0.6961 0.5136 x1
O2 0.0439 0.5245 0.0037 x1
O3 0.0774 0.7122 0.8370 x1
O4 0.1023 0.3002 0.6932 x1
O5 0.1438 0.4780 0.5148 x1
O6 0.1724 0.3129 0.0066 x1
O7 0.2363 0.9343 0.1913 x1
O8 0.3037 0.0954 0.8188 x1
O9 0.3212 0.2985 0.5032 x1
O10 0.3654 0.8534 0.5111 x1
O11 0.3830 0.2831 0.1732 x1
O12 0.4602 0.8629 0.8483 x1
O13 0.5127 0.5108 0.0260 x1
O14 0.5489 0.1877 0.5071 x1
O15 0.6021 0.8901 0.3328 x1
O16 0.6063 0.1566 0.1981 x1
O17 0.6635 0.5223 0.5079 x1
O18 0.6793 0.8646 0.0341 x1
O19 0.7370 0.1432 0.6839 x1
O20 0.7872 0.7246 0.3502 x1
O21 0.8283 0.1756 0.0043 x1
O22 0.8706 0.7062 0.0348 x1
O23 0.8909 0.9389 0.7036 x1
O24 0.9698 0.0718 0.3363 x1

The 10 most intense peaks (2θ from 15° to 90°), in order of falling intensity:
2θ/deg  I/Imax
19.5  100
19.6  97
31.0  41
34.1  39
27.6  29
31.2  26
34.3  25
22.9  24
34.1  23
27.9  17